(1)
Starting from a crystal structure in Alexandria, relaxed with GGA-PBE, the X-ray powder pattern of Ac3Mg4Ag8 was simulated for a wavelength of 1.5418 Å.
No peak broadening, texture or thermal motion is included.

Atomic structure:
a = 10.105 Å, b = 10.105 Å, c = 10.105 Å
α = 60.00°, β = 60.00°, γ = 60.00°
Positions (direct):
1 Ac 0.232 0.232 0.768
2 Ac 0.232 0.768 0.232
3 Ac 0.232 0.768 0.768
4 Ac 0.768 0.232 0.232
5 Ac 0.768 0.232 0.768
6 Ac 0.768 0.768 0.232
7 Mg 0.000 0.000 0.000
8 Mg 0.000 0.000 0.500
9 Mg 0.000 0.500 0.000
10 Mg 0.000 0.500 0.500
11 Mg 0.500 0.000 0.000
12 Mg 0.500 0.000 0.500
13 Mg 0.500 0.500 0.000
14 Mg 0.500 0.500 0.500
15 Ag 0.110 0.630 0.630
16 Ag 0.167 0.167 0.167
17 Ag 0.167 0.167 0.499
18 Ag 0.167 0.499 0.167
19 Ag 0.370 0.370 0.370
20 Ag 0.370 0.370 0.890
21 Ag 0.370 0.890 0.370
22 Ag 0.499 0.167 0.167
23 Ag 0.501 0.833 0.833
24 Ag 0.630 0.110 0.630
25 Ag 0.630 0.630 0.110
26 Ag 0.630 0.630 0.630
27 Ag 0.833 0.501 0.833
28 Ag 0.833 0.833 0.501
29 Ag 0.833 0.833 0.833
30 Ag 0.890 0.370 0.370

Main lines, sorted by position (5° ≤ 2θ ≤ 70°):
2θ 21.5, I = 51
2θ 27.9, I = 28
2θ 30.6, I = 15
2θ 32.6, I = 30
2θ 35.5, I = 100
2θ 37.8, I = 18
2θ 39.9, I = 14
2θ 41.9, I = 12
2θ 56.1, I = 16
2θ 63.8, I = 23

---

(2)
Starting from a crystal structure in Alexandria, relaxed with GGA-PBE, the X-ray powder pattern of Ac3MgAg4 was simulated for a wavelength of 1.5418 Å.
No peak broadening, texture or thermal motion is included.

Atomic structure:
a = 9.081 Å, b = 9.081 Å, c = 9.081 Å
α = 151.99°, β = 133.77°, γ = 54.93°
Positions (direct):
1 Ac 0.000 0.000 0.000
2 Ac 0.305 0.805 0.500
3 Ac 0.695 0.195 0.500
4 Mg 0.500 0.500 0.000
5 Ag 0.083 0.379 0.704
6 Ag 0.325 0.621 0.704
7 Ag 0.675 0.379 0.296
8 Ag 0.917 0.621 0.296

Main lines, sorted by position (5° ≤ 2θ ≤ 70°):
2θ 20.7, I = 60
2θ 26.3, I = 100
2θ 32.8, I = 63
2θ 33.6, I = 39
2θ 34.5, I = 71
2θ 36.5, I = 23
2θ 41.1, I = 29
2θ 41.6, I = 28
2θ 44.8, I = 26
2θ 64.2, I = 23

---

(3)
Starting from a crystal structure in Alexandria, relaxed with GGA-PBE, the X-ray powder pattern of AcMg9Ag3 was simulated for a wavelength of 1.5418 Å.
No peak broadening, texture or thermal motion is included.

Atomic structure:
a = 7.750 Å, b = 7.750 Å, c = 7.712 Å
α = 97.53°, β = 97.53°, γ = 137.16°
Positions (direct):
1 Ac 0.000 0.000 0.000
2 Mg 0.000 0.000 0.500
3 Mg 0.006 0.650 0.657
4 Mg 0.288 0.511 0.786
5 Mg 0.350 0.994 0.343
6 Mg 0.489 0.712 0.214
7 Mg 0.511 0.288 0.786
8 Mg 0.650 0.006 0.657
9 Mg 0.712 0.489 0.214
10 Mg 0.994 0.350 0.343
11 Ag 0.000 0.500 0.000
12 Ag 0.500 0.000 0.000
13 Ag 0.500 0.500 0.500

Main lines, sorted by position (5° ≤ 2θ ≤ 70°):
2θ 12.3, I = 92
2θ 18.0, I = 79
2θ 24.7, I = 100
2θ 25.0, I = 47
2θ 25.1, I = 48
2θ 30.6, I = 42
2θ 35.2, I = 89
2θ 35.5, I = 56
2θ 36.2, I = 70
2θ 36.4, I = 68

---

(4)
Starting from a crystal structure in Alexandria, relaxed with GGA-PBE, the X-ray powder pattern of Ac3MgAg3 was simulated for a wavelength of 1.5418 Å.
No peak broadening, texture or thermal motion is included.

Atomic structure:
a = 6.740 Å, b = 6.740 Å, c = 15.844 Å
α = 109.24°, β = 109.24°, γ = 39.52°
Positions (direct):
1 Ac 0.012 0.012 0.375
2 Ac 0.111 0.111 0.920
3 Ac 0.240 0.240 0.227
4 Ac 0.760 0.760 0.773
5 Ac 0.889 0.889 0.080
6 Ac 0.988 0.988 0.625
7 Mg 0.259 0.259 0.585
8 Mg 0.741 0.741 0.415
9 Ag 0.376 0.376 0.456
10 Ag 0.393 0.393 0.925
11 Ag 0.460 0.460 0.765
12 Ag 0.540 0.540 0.235
13 Ag 0.607 0.607 0.075
14 Ag 0.624 0.624 0.544

Main lines, sorted by position (5° ≤ 2θ ≤ 70°):
2θ 27.2, I = 24
2θ 28.2, I = 37
2θ 28.9, I = 83
2θ 29.4, I = 60
2θ 29.9, I = 100
2θ 33.1, I = 31
2θ 35.2, I = 41
2θ 36.3, I = 29
2θ 39.5, I = 44
2θ 54.5, I = 26

---

(5)
Starting from a crystal structure in Alexandria, relaxed with GGA-PBE, the X-ray powder pattern of Ac2MgAgO6 was simulated for a wavelength of 1.5418 Å.
No peak broadening, texture or thermal motion is included.

Atomic structure:
a = 5.877 Å, b = 5.882 Å, c = 9.936 Å
α = 90.00°, β = 125.61°, γ = 90.00°
Positions (direct):
1 Ac 0.240 0.040 0.248
2 Ac 0.240 0.460 0.748
3 Ac 0.760 0.540 0.252
4 Ac 0.760 0.960 0.752
5 Mg 0.000 0.000 0.500
6 Mg 0.000 0.500 0.000
7 Ag 0.500 0.000 0.000
8 Ag 0.500 0.500 0.500
9 O 0.152 0.223 0.955
10 O 0.152 0.277 0.455
11 O 0.250 0.715 0.958
12 O 0.250 0.785 0.458
13 O 0.333 0.027 0.751
14 O 0.333 0.473 0.251
15 O 0.667 0.527 0.749
16 O 0.667 0.973 0.249
17 O 0.750 0.215 0.542
18 O 0.750 0.285 0.042
19 O 0.848 0.723 0.545
20 O 0.848 0.777 0.045

Main lines, sorted by position (5° ≤ 2θ ≤ 70°):
2θ 21.4, I = 56
2θ 22.0, I = 30
2θ 30.4, I = 97
2θ 30.7, I = 100
2θ 31.0, I = 98
2θ 37.8, I = 22
2θ 43.5, I = 47
2θ 44.9, I = 31
2θ 54.1, I = 23
2θ 54.6, I = 23

---

(6)
Starting from a crystal structure in Alexandria, relaxed with GGA-PBE, the X-ray powder pattern of Ac2Mg3AgPb4 was simulated for a wavelength of 1.5418 Å.
No peak broadening, texture or thermal motion is included.

Atomic structure:
a = 4.975 Å, b = 4.975 Å, c = 11.747 Å
α = 90.00°, β = 90.00°, γ = 90.00°
Positions (direct):
1 Ac 0.000 0.500 0.248
2 Ac 0.500 0.000 0.752
3 Mg 0.000 0.500 0.872
4 Mg 0.500 0.000 0.128
5 Mg 0.500 0.500 0.500
6 Ag 0.000 0.000 0.500
7 Pb 0.000 0.000 0.000
8 Pb 0.000 0.500 0.637
9 Pb 0.500 0.000 0.363
10 Pb 0.500 0.500 0.000

Main lines, sorted by position (5° ≤ 2θ ≤ 70°):
2θ 23.4, I = 22
2θ 26.4, I = 29
2θ 29.0, I = 46
2θ 29.6, I = 100
2θ 36.1, I = 57
2θ 42.6, I = 25
2θ 47.0, I = 25
2θ 52.0, I = 20
2θ 57.0, I = 22
2θ 61.0, I = 27